# SrFe2C3
Computed X-ray powder pattern, Cu Ka. Input: a GGA-PBE-relaxed structure.

Main lines, by angle (10° ≤ 2θ ≤ 90°):
- 2θ = 17.9°, intensity 40, (0 2 0)
- 2θ = 24.4°, intensity 94, (1 1 1)
- 2θ = 30.2°, intensity 35, (1 3 0)
- 2θ = 32.6°, intensity 100, (2 2 0)
- 2θ = 35.5°, intensity 63, (1 3 1)
- 2θ = 36.2°, intensity 51, (0 4 0)
- 2θ = 41.3°, intensity 66, (0 2 2)
- 2θ = 42.1°, intensity 22, (3 1 0)
- 2θ = 46.2°, intensity 22, (3 1 1)
- 2θ = 46.3°, intensity 52, (2 0 2)
- 2θ = 60.2°, intensity 29, (2 4 2)
- 2θ = 63.6°, intensity 26, (3 3 2)

Cell and atoms:
a = 6.5962 Å, b = 9.9187 Å, c = 4.8747 Å
α = 90.00°, β = 90.00°, γ = 90.00°
Space group Cmcm (No. 63)
Symmetry-distinct sites (fractional):
Sr  0.0000  0.2205  0.2500 (multiplicity 4)
Fe  0.1904  0.5000  0.0000 (multiplicity 8)
C  0.0000  0.4297  0.7500 (multiplicity 4)
C  0.1041  0.0561  0.7500 (multiplicity 8)